Calculated X-ray diffraction stick pattern
Compound: ZnCd2Co
Radiation: copper Kα
Structure: DFT lattice parameters and positions (PBE)
Lines closer than 0.1° are merged.

Structural model:
Unit cell a=5.1178 b=5.1178 c=5.1178 alpha=134.75 beta=134.75 gamma=65.91
Atoms (fractional coordinates):
Zn (0.0000, 0.0000, 0.0000)
Cd (0.2500, 0.7500, 0.5000)
Cd (0.5000, 0.5000, 0.0000)
Co (0.7500, 0.2500, 0.5000)

Largest 10 diffraction maxima, low angle first, 2θ = 15–90°:
| 2theta | I_rel |
| --- | --- |
| 24.88 | 11 |
| 38.54 | 100 |
| 38.89 | 3 |
| 42.08 | 19 |
| 46.11 | 29 |
| 64.18 | 21 |
| 67.26 | 9 |
| 74.54 | 13 |
| 80.28 | 21 |
| 82.60 | 10 |



Calculated X-ray diffraction stick pattern
Compound: Al6InAu12
Radiation: copper Kα
Structure: DFT lattice parameters and positions (PBE)
Lines closer than 0.1° are merged.

Structural model:
Unit cell a=7.5621 b=7.5621 c=7.5621 alpha=106.96 beta=106.96 gamma=106.96
Atoms (fractional coordinates):
Al (0.2906, 0.2906, 0.6938)
Al (0.2906, 0.6938, 0.2906)
Al (0.3062, 0.7094, 0.7094)
Al (0.6938, 0.2906, 0.2906)
Al (0.7094, 0.3062, 0.7094)
Al (0.7094, 0.7094, 0.3062)
In (0.0000, 0.0000, 0.0000)
Au (0.1192, 0.5000, 0.8808)
Au (0.1192, 0.8808, 0.5000)
Au (0.1255, 0.3705, 0.3705)
Au (0.3705, 0.1255, 0.3705)
Au (0.3705, 0.3705, 0.1255)
Au (0.5000, 0.1192, 0.8808)
Au (0.5000, 0.8808, 0.1192)
Au (0.6295, 0.6295, 0.8745)
Au (0.6295, 0.8745, 0.6295)
Au (0.8745, 0.6295, 0.6295)
Au (0.8808, 0.1192, 0.5000)
Au (0.8808, 0.5000, 0.1192)

Largest 10 diffraction maxima, low angle first, 2θ = 15–90°:
| 2theta | I_rel |
| --- | --- |
| 22.67 | 44 |
| 25.38 | 16 |
| 32.44 | 100 |
| 35.11 | 41 |
| 38.78 | 27 |
| 39.22 | 15 |
| 41.09 | 44 |
| 43.14 | 18 |
| 46.92 | 15 |
| 48.30 | 39 |



Calculated X-ray diffraction stick pattern
Compound: CsGa2Br3
Radiation: copper Kα
Structure: DFT lattice parameters and positions (PBE)
Lines closer than 0.1° are merged.

Structural model:
Unit cell a=6.2363 b=15.4132 c=4.8719 alpha=90.00 beta=90.00 gamma=90.00
Atoms (fractional coordinates):
Cs (0.2500, 0.2500, 0.1700)
Cs (0.7500, 0.7500, 0.8300)
Ga (0.2500, 0.5660, 0.2502)
Ga (0.2500, 0.9340, 0.2502)
Ga (0.7500, 0.0660, 0.7498)
Ga (0.7500, 0.4340, 0.7498)
Br (0.2500, 0.0631, 0.6922)
Br (0.2500, 0.4369, 0.6922)
Br (0.2500, 0.7500, 0.4371)
Br (0.7500, 0.2500, 0.5629)
Br (0.7500, 0.5631, 0.3078)
Br (0.7500, 0.9369, 0.3078)

Largest 10 diffraction maxima, low angle first, 2θ = 15–90°:
| 2theta | I_rel |
| --- | --- |
| 23.12 | 36 |
| 23.89 | 23 |
| 25.19 | 100 |
| 25.93 | 34 |
| 28.63 | 75 |
| 29.03 | 39 |
| 34.93 | 32 |
| 38.50 | 64 |
| 45.76 | 29 |
| 47.59 | 19 |